Computed PXRD pattern of Cu2S for Cu Ka, from a cell relaxed with GGA-PBE.
No peak broadening, texture or thermal motion is included.

Most intense lines, 2θ = 5–70°, low angle first:
2θ 23.27, rel. 34; 2θ 27.48, rel. 23; 2θ 30.88, rel. 58; 2θ 32.03, rel. 27; 2θ 40.40, rel. 100; 2θ 44.24, rel. 28; 2θ 46.32, rel. 31; 2θ 50.58, rel. 58; 2θ 51.53, rel. 41; 2θ 52.87, rel. 19

Atomic structure:
```
data_Cu2S
_cell_length_a 4.0947
_cell_length_b 4.0947
_cell_length_c 10.6522
_cell_angle_alpha 90.00
_cell_angle_beta 90.00
_cell_angle_gamma 90.00
_space_group_name_H-M_alt 'P 43 21 2'
_space_group_IT_number 96
loop_
_space_group_symop_operation_xyz
'x,y,z'
'-y+1/2,x+1/2,z+3/4'
'-x,-y,z+1/2'
'y+1/2,-x+1/2,z+1/4'
'x+1/2,-y+1/2,-z+1/4'
'-y,-x,-z+1/2'
'-x+1/2,y+1/2,-z+3/4'
'y,x,-z'
loop_
_atom_site_label
_atom_site_type_symbol
_atom_site_fract_x
_atom_site_fract_y
_atom_site_fract_z
Cu1 Cu 0.0773 0.4173 0.0814
S1 S 0.0776 0.0776 0.5000
```